Starting from a structure optimized by DFT (PBE), the PXRD pattern of CsSb was computed for a wavelength of 1.5418 Å.

Top 12 peaks for 10° ≤ 2θ ≤ 90°, in order of falling intensity:
(1 1 3), 2θ = 25.73°, rel. 100; (2 1 1), 2θ = 27.04°, rel. 44; (0 2 1), 2θ = 23.79°, rel. 43; (1 2 2), 2θ = 28.99°, rel. 40; (0 1 1), 2θ = 13.13°, rel. 34; (2 1 0), 2θ = 26.21°, rel. 29; (2 1 3), 2θ = 33.03°, rel. 27; (2 3 1), 2θ = 42.78°, rel. 25; (1 1 4), 2θ = 31.22°, rel. 22; (2 2 1), 2θ = 33.71°, rel. 21; (0 1 4), 2θ = 28.84°, rel. 21; (1 0 3), 2θ = 23.01°, rel. 20

Cell and atoms:
```
data_CsSb
_cell_length_a 7.559
_cell_length_b 7.787
_cell_length_c 13.495
_cell_angle_alpha 90.00
_cell_angle_beta 90.00
_cell_angle_gamma 90.00
_space_group_name_H-M_alt 'P 21 21 21'
_space_group_IT_number 19
loop_
_space_group_symop_operation_xyz
'x,y,z'
'-x+1/2,-y,z+1/2'
'x+1/2,-y+1/2,-z'
'-x,y+1/2,-z+1/2'
loop_
_atom_site_label
_atom_site_type_symbol
_atom_site_fract_x
_atom_site_fract_y
_atom_site_fract_z
Cs1 Cs 0.093 0.105 0.417
Cs2 Cs 0.174 0.336 0.783
Sb1 Sb 0.089 0.566 0.531
Sb2 Sb 0.176 0.176 0.113
```

Starting from a structure optimized by DFT (PBE), the PXRD pattern of Ga2TeSe2 was computed for a wavelength of 1.5418 Å.

Top 12 peaks for 10° ≤ 2θ ≤ 90°, in order of falling intensity:
(2 1 1), 2θ = 28.04°, rel. 100; (2 2 4), 2θ = 47.88°, rel. 57; (1 0 1), 2θ = 14.38°, rel. 44; (1 0 3), 2θ = 27.12°, rel. 44; (1 1 2), 2θ = 23.41°, rel. 42; (3 2 1), 2θ = 44.71°, rel. 41; (4 0 0), 2θ = 49.01°, rel. 28; (1 0 5), 2θ = 42.89°, rel. 25; (2 0 0), 2θ = 23.94°, rel. 19; (3 1 2), 2θ = 41.78°, rel. 15; (5 0 5), 2θ = 77.50°, rel. 15; (2 2 0), 2θ = 34.11°, rel. 14

Cell and atoms:
```
data_Ga2TeSe2
_cell_length_a 7.435
_cell_length_b 7.435
_cell_length_c 10.996
_cell_angle_alpha 90.00
_cell_angle_beta 90.00
_cell_angle_gamma 90.00
_space_group_name_H-M_alt 'I 41 m d'
_space_group_IT_number 109
_space_group_name_Hall 'I 4bw -2'
loop_
_atom_site_label
_atom_site_type_symbol
_atom_site_fract_x
_atom_site_fract_y
_atom_site_fract_z
Ga1 Ga 0.000 0.225 0.000
Te1 Te 0.000 0.000 0.604
Se1 Se 0.000 0.252 0.223
```

Starting from a structure optimized by DFT (PBE), the PXRD pattern of KErTe2 was computed for a wavelength of 1.5418 Å.

Top 12 peaks for 10° ≤ 2θ ≤ 90°, in order of falling intensity:
(1 0 4), 2θ = 27.18°, rel. 100; (0 0 3), 2θ = 10.73°, rel. 51; (1 1 0), 2θ = 40.36°, rel. 37; (0 1 8), 2θ = 37.22°, rel. 34; (1 0 7), 2θ = 34.37°, rel. 21; (0 2 4), 2θ = 49.34°, rel. 19; (2 1 4), 2θ = 65.58°, rel. 16; (0 1 11), 2θ = 46.72°, rel. 13; (1 1 3), 2θ = 41.89°, rel. 12; (1 1 12), 2θ = 61.17°, rel. 11; (2 0 8), 2θ = 56.06°, rel. 10; (1 2 8), 2θ = 71.32°, rel. 10

Cell and atoms:
```
data_KErTe2
_cell_length_a 4.4692
_cell_length_b 4.4692
_cell_length_c 24.7347
_cell_angle_alpha 90.00
_cell_angle_beta 90.00
_cell_angle_gamma 120.00
_space_group_name_H-M_alt 'R -3 m'
_space_group_IT_number 166
_space_group_name_Hall '-R 3 2"'
loop_
_atom_site_label
_atom_site_type_symbol
_atom_site_fract_x
_atom_site_fract_y
_atom_site_fract_z
K1 K 0.0000 0.0000 0.0000
Er1 Er 0.0000 0.0000 0.5000
Te1 Te 0.0000 0.0000 0.2356
```